# 1
Calculated powder diffraction line list of CaCd5Au7 for Cu Kα X-rays, from DFT lattice parameters and positions (GGA-PBE).

Principal peaks in the range 2θ = 10–80°, sorted by position:
2θ = 30.0°, rel. 26; 2θ = 30.6°, rel. 48; 2θ = 30.7°, rel. 37; 2θ = 35.5°, rel. 29; 2θ = 36.3°, rel. 96; 2θ = 38.5°, rel. 31; 2θ = 40.5°, rel. 46; 2θ = 40.6°, rel. 100; 2θ = 42.6°, rel. 55; 2θ = 68.3°, rel. 42

Crystal structure
```
CaCd5Au7
1.0
-2.914 5.069 4.671
2.914 -5.069 4.671
2.914 5.069 -4.671
Ca Cd Au
1 5 7
Direct
0.000 0.000 0.000
0.000 0.495 0.006
0.000 0.994 0.505
0.489 0.495 0.495
0.489 0.994 0.994
0.727 0.227 0.500
0.142 0.492 0.649
0.264 0.764 0.500
0.310 0.996 0.314
0.339 0.339 0.000
0.662 0.662 0.000
0.683 0.996 0.686
0.843 0.492 0.351
```

# 2
Calculated powder diffraction line list of Ca3Cd7Au4 for Cu Kα X-rays, from DFT lattice parameters and positions (GGA-PBE).

Principal peaks in the range 2θ = 10–80°, sorted by position:
2θ = 16.8°, rel. 57; 2θ = 21.4°, rel. 71; 2θ = 21.8°, rel. 47; 2θ = 31.5°, rel. 61; 2θ = 33.1°, rel. 55; 2θ = 33.5°, rel. 100; 2θ = 35.7°, rel. 44; 2θ = 39.5°, rel. 71; 2θ = 39.9°, rel. 88; 2θ = 40.0°, rel. 90

Crystal structure
```
Ca3Cd7Au4
1.0
8.331 -2.261 0.000
8.331 2.261 0.000
-5.920 0.000 8.825
Ca Cd Au
3 7 4
Direct
0.000 0.000 0.000
0.301 0.301 0.289
0.699 0.699 0.711
0.000 0.000 0.500
0.162 0.162 0.434
0.326 0.326 0.987
0.489 0.489 0.687
0.511 0.511 0.313
0.674 0.674 0.013
0.838 0.838 0.566
0.117 0.117 0.822
0.342 0.342 0.742
0.658 0.658 0.258
0.883 0.883 0.178
```

# 3
Calculated powder diffraction line list of Ca2CdAu6 for Cu Kα X-rays, from DFT lattice parameters and positions (GGA-PBE).

Principal peaks in the range 2θ = 10–80°, sorted by position:
2θ = 15.1°, rel. 19; 2θ = 22.4°, rel. 36; 2θ = 32.4°, rel. 14; 2θ = 33.0°, rel. 16; 2θ = 34.8°, rel. 20; 2θ = 36.5°, rel. 100; 2θ = 44.2°, rel. 17; 2θ = 45.6°, rel. 41; 2θ = 59.0°, rel. 19; 2θ = 66.2°, rel. 18

Crystal structure
```
Ca2CdAu6
1.0
6.260 0.000 0.000
-3.130 5.421 0.000
0.000 0.000 5.851
Ca Cd Au
2 1 6
Direct
0.333 0.667 0.334
0.667 0.333 0.666
0.000 0.000 0.500
0.184 0.367 0.825
0.184 0.816 0.825
0.367 0.184 0.175
0.633 0.816 0.825
0.816 0.184 0.175
0.816 0.633 0.175
```

# 4
Calculated powder diffraction line list of CaCdAu2 for Cu Kα X-rays, from DFT lattice parameters and positions (GGA-PBE).

Principal peaks in the range 2θ = 10–80°, sorted by position:
2θ = 19.8°, rel. 36; 2θ = 22.4°, rel. 21; 2θ = 34.3°, rel. 100; 2θ = 37.5°, rel. 90; 2θ = 42.7°, rel. 32; 2θ = 51.7°, rel. 31; 2θ = 52.5°, rel. 18; 2θ = 59.4°, rel. 14; 2θ = 65.6°, rel. 30; 2θ = 67.6°, rel. 16

Crystal structure
```
CaCdAu2
1.0
2.400 1.386 4.477
-2.400 1.386 4.477
0.000 -2.772 4.477
Ca Cd Au
1 1 2
Direct
0.000 0.000 0.000
0.771 0.771 0.771
0.232 0.232 0.232
0.503 0.503 0.503
```

# 5
Calculated powder diffraction line list of Ca4CdAu2 for Cu Kα X-rays, from DFT lattice parameters and positions (GGA-PBE).

Principal peaks in the range 2θ = 10–80°, sorted by position:
2θ = 11.1°, rel. 21; 2θ = 20.1°, rel. 18; 2θ = 22.3°, rel. 42; 2θ = 25.6°, rel. 40; 2θ = 29.6°, rel. 17; 2θ = 33.7°, rel. 100; 2θ = 34.2°, rel. 63; 2θ = 48.4°, rel. 21; 2θ = 48.7°, rel. 23; 2θ = 60.6°, rel. 24

Crystal structure
```
Ca4CdAu2
1.0
2.659 -4.609 0.000
2.659 4.609 0.000
0.000 0.000 15.971
Ca Cd Au
8 2 4
Direct
0.000 0.000 0.000
0.000 0.000 0.500
0.333 0.667 0.627
0.333 0.667 0.873
0.334 0.666 0.250
0.666 0.334 0.750
0.667 0.333 0.127
0.667 0.333 0.373
0.001 0.999 0.250
0.999 0.001 0.750
0.334 0.666 0.062
0.334 0.666 0.438
0.666 0.334 0.562
0.666 0.334 0.938
```

# 6
Calculated powder diffraction line list of CaCd2Au10 for Cu Kα X-rays, from DFT lattice parameters and positions (GGA-PBE).

Principal peaks in the range 2θ = 10–80°, sorted by position:
2θ = 13.5°, rel. 31; 2θ = 32.2°, rel. 47; 2θ = 36.3°, rel. 69; 2θ = 36.7°, rel. 55; 2θ = 37.8°, rel. 71; 2θ = 38.2°, rel. 54; 2θ = 40.7°, rel. 76; 2θ = 41.6°, rel. 100; 2θ = 42.6°, rel. 35; 2θ = 67.3°, rel. 38

Crystal structure
```
CaCd2Au10
1.0
0.000 6.565 6.908
2.896 0.000 6.908
2.896 6.565 0.000
Ca Cd Au
1 2 10
Direct
0.000 0.000 0.000
0.000 0.500 0.000
0.500 0.000 0.500
0.000 0.000 0.500
0.004 0.656 0.344
0.284 0.500 0.500
0.344 0.996 0.004
0.500 0.284 0.716
0.500 0.500 0.000
0.500 0.716 0.284
0.656 0.004 0.996
0.716 0.500 0.500
0.996 0.344 0.656
```

# 7
Calculated powder diffraction line list of Ca2CdAu3 for Cu Kα X-rays, from DFT lattice parameters and positions (GGA-PBE).

Principal peaks in the range 2θ = 10–80°, sorted by position:
2θ = 22.5°, rel. 63; 2θ = 23.0°, rel. 56; 2θ = 25.3°, rel. 39; 2θ = 31.9°, rel. 92; 2θ = 33.4°, rel. 73; 2θ = 35.4°, rel. 100; 2θ = 40.2°, rel. 64; 2θ = 41.6°, rel. 49; 2θ = 44.7°, rel. 48; 2θ = 63.3°, rel. 38

Crystal structure
```
Ca2CdAu3
1.0
7.784 0.000 0.000
0.000 4.052 0.000
0.000 0.000 17.870
Ca Cd Au
8 4 12
Direct
0.076 0.250 0.216
0.148 0.250 0.433
0.352 0.750 0.933
0.424 0.750 0.716
0.576 0.250 0.284
0.648 0.250 0.067
0.852 0.750 0.567
0.924 0.750 0.784
0.003 0.750 0.064
0.497 0.250 0.564
0.503 0.750 0.436
0.997 0.250 0.936
0.098 0.250 0.660
0.225 0.250 0.813
0.239 0.750 0.558
0.261 0.250 0.058
0.275 0.750 0.313
0.402 0.750 0.160
0.598 0.250 0.840
0.725 0.250 0.687
0.739 0.750 0.942
0.761 0.250 0.442
0.775 0.750 0.187
0.902 0.750 0.340
```

# 8
Calculated powder diffraction line list of CaCd12Au6 for Cu Kα X-rays, from DFT lattice parameters and positions (GGA-PBE).

Principal peaks in the range 2θ = 10–80°, sorted by position:
2θ = 12.4°, rel. 38; 2θ = 13.9°, rel. 35; 2θ = 24.9°, rel. 38; 2θ = 30.8°, rel. 36; 2θ = 31.9°, rel. 32; 2θ = 36.9°, rel. 100; 2θ = 37.8°, rel. 65; 2θ = 40.6°, rel. 37; 2θ = 41.8°, rel. 54; 2θ = 45.5°, rel. 45

Crystal structure
```
CaCd12Au6
1.0
6.349 3.666 3.131
-6.349 3.666 3.131
0.000 -7.331 3.131
Ca Cd Au
1 12 6
Direct
0.000 0.000 0.000
0.114 0.500 0.886
0.114 0.886 0.500
0.140 0.388 0.388
0.388 0.140 0.388
0.388 0.388 0.140
0.500 0.114 0.886
0.500 0.886 0.114
0.612 0.612 0.860
0.612 0.860 0.612
0.860 0.612 0.612
0.886 0.114 0.500
0.886 0.500 0.114
0.283 0.283 0.707
0.283 0.707 0.283
0.293 0.717 0.717
0.707 0.283 0.283
0.717 0.293 0.717
0.717 0.717 0.293
```

# 9
Calculated powder diffraction line list of Ca4Cd3Au5 for Cu Kα X-rays, from DFT lattice parameters and positions (GGA-PBE).

Principal peaks in the range 2θ = 10–80°, sorted by position:
2θ = 23.1°, rel. 48; 2θ = 23.2°, rel. 92; 2θ = 23.8°, rel. 58; 2θ = 31.9°, rel. 60; 2θ = 33.4°, rel. 100; 2θ = 36.7°, rel. 84; 2θ = 38.7°, rel. 83; 2θ = 42.7°, rel. 54; 2θ = 43.2°, rel. 52; 2θ = 60.9°, rel. 39

Crystal structure
```
Ca4Cd3Au5
1.0
7.491 0.000 0.000
0.000 4.240 0.000
-0.030 0.000 8.993
Ca Cd Au
4 3 5
Direct
0.000 0.000 0.000
0.095 0.500 0.617
0.478 0.000 0.128
0.592 0.500 0.484
0.411 0.000 0.742
0.686 0.500 0.868
0.913 0.000 0.364
0.183 0.500 0.238
0.285 0.500 0.929
0.301 0.000 0.438
0.778 0.500 0.176
0.806 0.000 0.673
```

# 10
Calculated powder diffraction line list of CaCd12Au4 for Cu Kα X-rays, from DFT lattice parameters and positions (GGA-PBE).

Principal peaks in the range 2θ = 10–80°, sorted by position:
2θ = 18.3°, rel. 43; 2θ = 26.1°, rel. 37; 2θ = 29.2°, rel. 100; 2θ = 32.1°, rel. 16; 2θ = 34.7°, rel. 31; 2θ = 41.8°, rel. 84; 2θ = 46.0°, rel. 61; 2θ = 48.0°, rel. 35; 2θ = 60.6°, rel. 19; 2θ = 63.9°, rel. 17

Crystal structure
```
CaCd12Au4
1.0
-4.835 4.835 4.835
4.835 -4.835 4.835
4.835 4.835 -4.835
Ca Cd Au
1 12 4
Direct
0.000 0.000 0.000
0.152 0.500 0.348
0.152 0.804 0.652
0.196 0.348 0.848
0.348 0.152 0.500
0.348 0.848 0.196
0.500 0.348 0.152
0.500 0.652 0.848
0.652 0.152 0.804
0.652 0.848 0.500
0.804 0.652 0.152
0.848 0.196 0.348
0.848 0.500 0.652
0.000 0.000 0.500
0.000 0.500 0.000
0.500 0.000 0.000
0.500 0.500 0.500
```

# 11
Calculated powder diffraction line list of Li2CaCdAu5 for Cu Kα X-rays, from DFT lattice parameters and positions (GGA-PBE).

Principal peaks in the range 2θ = 10–80°, sorted by position:
2θ = 22.1°, rel. 17; 2θ = 22.9°, rel. 11; 2θ = 26.9°, rel. 14; 2θ = 35.6°, rel. 100; 2θ = 38.4°, rel. 42; 2θ = 46.7°, rel. 12; 2θ = 55.4°, rel. 14; 2θ = 62.0°, rel. 20; 2θ = 67.6°, rel. 31; 2θ = 75.3°, rel. 11

Crystal structure
```
Li2CaCdAu5
1.0
4.690 0.000 0.000
0.000 4.690 0.000
0.000 0.000 7.775
Li Ca Cd Au
2 1 1 5
Direct
0.000 0.000 0.150
0.000 0.000 0.850
0.500 0.500 0.500
0.500 0.500 0.000
0.000 0.000 0.500
0.000 0.500 0.246
0.000 0.500 0.754
0.500 0.000 0.246
0.500 0.000 0.754
```

# 12
Calculated powder diffraction line list of CaPmCd2Au4 for Cu Kα X-rays, from DFT lattice parameters and positions (GGA-PBE).

Principal peaks in the range 2θ = 10–80°, sorted by position:
2θ = 10.8°, rel. 2; 2θ = 20.9°, rel. 1; 2θ = 25.2°, rel. 11; 2θ = 27.5°, rel. 1; 2θ = 35.9°, rel. 100; 2θ = 44.4°, rel. 4; 2θ = 51.8°, rel. 18; 2θ = 58.4°, rel. 5; 2θ = 64.6°, rel. 36; 2θ = 76.2°, rel. 11

Crystal structure
```
CaPmCd2Au4
1.0
2.498 1.442 8.161
-2.498 1.442 8.161
0.000 -2.884 8.161
Ca Pm Cd Au
1 1 2 4
Direct
0.000 0.000 0.000
0.500 0.500 0.500
0.251 0.251 0.251
0.749 0.749 0.749
0.124 0.124 0.124
0.375 0.375 0.375
0.625 0.625 0.625
0.876 0.876 0.876
```

# 13
Calculated powder diffraction line list of Ca2Zn3CdAu6 for Cu Kα X-rays, from DFT lattice parameters and positions (GGA-PBE).

Principal peaks in the range 2θ = 10–80°, sorted by position:
2θ = 19.9°, rel. 90; 2θ = 22.7°, rel. 57; 2θ = 31.9°, rel. 100; 2θ = 35.0°, rel. 100; 2θ = 37.6°, rel. 58; 2θ = 40.6°, rel. 62; 2θ = 41.9°, rel. 49; 2θ = 45.2°, rel. 81; 2θ = 47.9°, rel. 41; 2θ = 49.8°, rel. 35

Crystal structure
```
Ca2Zn3CdAu6
1.0
4.011 0.000 0.000
0.000 4.011 0.000
0.000 0.000 17.884
Ca Zn Cd Au
2 3 1 6
Direct
0.000 0.000 0.203
0.000 0.000 0.797
0.500 0.500 0.000
0.500 0.500 0.283
0.500 0.500 0.717
0.000 0.000 0.500
0.000 0.500 0.379
0.000 0.500 0.621
0.500 0.000 0.379
0.500 0.000 0.621
0.500 0.500 0.140
0.500 0.500 0.860
```